(1)
For Rb2Cr2O7, DFT lattice parameters and positions (GGA+U) gives the calculated PXRD pattern in this record (copper Kα).

a b c (Å): 7.8784 7.9148 13.8463
angles (deg): 82.61 89.08 86.59
Space group P-1 (No. 2)
Inequivalent atoms, fractional coordinates:
Rb: 0.0590 0.1936 0.3419 [2 per cell]
Rb: 0.2809 0.6211 0.1569 [2 per cell]
Rb: 0.2836 0.2916 0.6312 [2 per cell]
Rb: 0.3887 0.8786 0.8649 [2 per cell]
Cr: 0.1498 0.1372 0.0852 [2 per cell]
Cr: 0.1978 0.7142 0.4175 [2 per cell]
Cr: 0.2151 0.3906 0.8902 [2 per cell]
Cr: 0.4360 0.7525 0.6114 [2 per cell]
O: 0.0143 0.9387 0.8545 [2 per cell]
O: 0.0341 0.8424 0.4382 [2 per cell]
O: 0.0811 0.2722 0.9773 [2 per cell]
O: 0.0938 0.4865 0.8029 [2 per cell]
O: 0.1292 0.5424 0.3812 [2 per cell]
O: 0.2527 0.2503 0.1537 [2 per cell]
O: 0.2805 0.9823 0.0562 [2 per cell]
O: 0.3127 0.6521 0.5288 [2 per cell]
O: 0.3135 0.5283 0.9438 [2 per cell]
O: 0.3199 0.8092 0.3335 [2 per cell]
O: 0.3221 0.9085 0.6530 [2 per cell]
O: 0.3550 0.2585 0.8456 [2 per cell]
O: 0.3917 0.1780 0.4425 [2 per cell]
O: 0.4852 0.6054 0.7020 [2 per cell]

Peak list (8 most intense, 5 to 70 degrees two-theta, in order of rising 2θ)
d = 3.916 Å, I = 22, (0 2 0); d = 3.789 Å, I = 21, (2 0 1); d = 3.645 Å, I = 95, (0 2 -1); d = 3.539 Å, I = 43, (2 1 1); d = 3.432 Å, I = 100, (0 0 4); d = 3.297 Å, I = 17, (2 -1 1); d = 3.184 Å, I = 28, (0 2 3); d = 2.820 Å, I = 18, (1 1 -4)

(2)
For MnCo3O8, DFT lattice parameters and positions (GGA+U) gives the calculated PXRD pattern in this record (copper Kα).

a b c (Å): 8.0441 8.0441 8.0441
angles (deg): 90.00 90.00 90.00
Space group P4_332 (No. 212)
Inequivalent atoms, fractional coordinates:
Mn: 0.1250 0.1250 0.1250 [4 per cell]
Co: 0.1224 0.8724 0.8750 [12 per cell]
O: 0.1067 0.8839 0.1080 [24 per cell]
O: 0.1123 0.3877 0.6123 [8 per cell]

Peak list (8 most intense, 5 to 70 degrees two-theta, in order of rising 2θ)
d = 4.644 Å, I = 100, (1 1 1); d = 2.425 Å, I = 36, (3 1 1); d = 2.322 Å, I = 11, (2 2 2); d = 2.011 Å, I = 48, (4 0 0); d = 1.845 Å, I = 10, (3 3 1); d = 1.548 Å, I = 16, (5 1 1); d = 1.422 Å, I = 25, (4 4 0); d = 1.360 Å, I = 13, (5 3 1)

(3)
For Li2VF5, DFT lattice parameters and positions (GGA+U) gives the calculated PXRD pattern in this record (copper Kα).

a b c (Å): 5.8359 9.7374 7.8346
angles (deg): 90.00 106.29 90.00
Space group P2_1/c (No. 14)
Inequivalent atoms, fractional coordinates:
Li: 0.1406 0.1940 0.4825 [4 per cell]
Li: 0.3338 0.6768 0.1265 [4 per cell]
V: 0.1298 0.5066 0.7104 [4 per cell]
F: 0.0854 0.6159 0.9059 [4 per cell]
F: 0.1007 0.6247 0.2461 [4 per cell]
F: 0.1300 0.1086 0.9925 [4 per cell]
F: 0.3636 0.6311 0.6756 [4 per cell]
F: 0.3651 0.1169 0.3758 [4 per cell]

Peak list (8 most intense, 5 to 70 degrees two-theta, in order of rising 2θ)
d = 5.602 Å, I = 76, (1 0 0); d = 4.868 Å, I = 45, (0 2 0); d = 4.623 Å, I = 100, (1 1 -1); d = 3.691 Å, I = 22, (1 1 1); d = 3.675 Å, I = 24, (1 2 0); d = 2.977 Å, I = 21, (0 2 2); d = 2.275 Å, I = 25, (1 2 -3); d = 2.164 Å, I = 29, (2 3 -1)

(4)
For MgV2Zn2O7, DFT lattice parameters and positions (GGA+U) gives the calculated PXRD pattern in this record (copper Kα).

a b c (Å): 6.1254 9.2635 5.4045
angles (deg): 90.00 95.04 90.00
Space group Cm (No. 8)
Inequivalent atoms, fractional coordinates:
Mg: 0.0000 0.0000 0.0000 [2 per cell]
V: 0.1160 0.5000 0.7262 [2 per cell]
V: 0.1662 0.0000 0.4967 [2 per cell]
Zn: 0.4191 0.1849 0.1252 [4 per cell]
O: 0.1168 0.1502 0.2736 [4 per cell]
O: 0.1940 0.3485 0.9408 [4 per cell]
O: 0.3005 0.0000 0.8382 [2 per cell]
O: 0.4012 0.5000 0.6276 [2 per cell]
O: 0.4792 0.0000 0.4074 [2 per cell]

Peak list (8 most intense, 5 to 70 degrees two-theta, in order of rising 2θ)
d = 5.384 Å, I = 34, (0 0 1); d = 5.096 Å, I = 20, (1 1 0); d = 3.572 Å, I = 33, (1 1 1); d = 3.511 Å, I = 100, (0 2 1); d = 2.758 Å, I = 46, (2 0 -1); d = 2.414 Å, I = 24, (1 3 1); d = 1.918 Å, I = 29, (3 1 -1); d = 1.888 Å, I = 49, (1 3 2)

(5)
For CaLaMn2O6, DFT lattice parameters and positions (GGA+U) gives the calculated PXRD pattern in this record (copper Kα).

a b c (Å): 7.7007 5.5289 5.4791
angles (deg): 90.00 90.00 90.00
Space group Pmn2_1 (No. 31)
Inequivalent atoms, fractional coordinates:
Ca: 0.0000 0.2083 0.0000 [2 per cell]
La: 0.0000 0.7184 0.4859 [2 per cell]
Mn: 0.2494 0.2498 0.4922 [4 per cell]
O: 0.0000 0.2648 0.5713 [2 per cell]
O: 0.0000 0.7684 0.9239 [2 per cell]
O: 0.2092 0.4631 0.2061 [4 per cell]
O: 0.2140 0.9675 0.2742 [4 per cell]

Peak list (8 most intense, 5 to 70 degrees two-theta, in order of rising 2θ)
d = 4.491 Å, I = 18, (1 1 0); d = 4.464 Å, I = 18, (1 0 1); d = 2.764 Å, I = 20, (0 2 0); d = 2.738 Å, I = 100, (2 1 1); d = 1.946 Å, I = 26, (0 2 2); d = 1.925 Å, I = 14, (4 0 0); d = 1.581 Å, I = 26, (2 1 3); d = 1.369 Å, I = 16, (0 0 4)

(6)
For Li9Mn2Co5O16, DFT lattice parameters and positions (GGA+U) gives the calculated PXRD pattern in this record (copper Kα).

a b c (Å): 3.0253 5.0643 19.1205
angles (deg): 91.95 93.82 91.91
Space group P-1 (No. 2)
Inequivalent atoms, fractional coordinates:
Li: 0.0000 0.0000 0.0000 [1 per cell]
Li: 0.0000 0.5000 0.5000 [1 per cell]
Li: 0.0041 0.2489 0.7490 [2 per cell]
Li: 0.4899 0.6297 0.3752 [2 per cell]
Li: 0.4988 0.8746 0.1252 [2 per cell]
Li: 0.5000 0.0000 0.5000 [1 per cell]
Mn: 0.4972 0.2466 0.2501 [2 per cell]
Co: 0.0144 0.3749 0.1241 [2 per cell]
Co: 0.0144 0.8754 0.6192 [2 per cell]
Co: 0.5000 0.5000 0.0000 [1 per cell]
O: 0.0007 0.1563 0.5697 [2 per cell]
O: 0.0202 0.6609 0.0621 [2 per cell]
O: 0.0259 0.0817 0.1857 [2 per cell]
O: 0.0261 0.5947 0.6853 [2 per cell]
O: 0.4530 0.7914 0.9377 [2 per cell]
O: 0.4688 0.3018 0.4329 [2 per cell]
O: 0.4779 0.5413 0.1866 [2 per cell]
O: 0.4795 0.0455 0.6871 [2 per cell]

Peak list (8 most intense, 5 to 70 degrees two-theta, in order of rising 2θ)
d = 4.846 Å, I = 100, (0 1 1); d = 2.631 Å, I = 20, (1 0 -4); d = 2.474 Å, I = 12, (1 0 4); d = 2.434 Å, I = 15, (0 1 -7); d = 2.208 Å, I = 35, (-1 1 5); d = 2.050 Å, I = 27, (1 1 5); d = 2.015 Å, I = 24, (0 2 -6); d = 1.508 Å, I = 8, (2 0 0)